Simulated PXRD pattern of CuTeO5 for Cu Kα, from a DFT-relaxed cell (GGA-PBE, the Materials Project).
Kinematic intensities with the Lorentz-polarization factor, no thermal factor.

Most intense lines, 2θ = 5–70°, in order of falling intensity:
two_theta, I/Imax, (hkl)
23.30, 100.0, 1 1 1
27.38, 65.1, 0 1 3
34.05, 57.4, 0 2 3
20.24, 48.8, 1 0 1
24.39, 44.7, 0 2 1
33.24, 43.6, 1 1 3
24.84, 38.5, 1 0 2
31.11, 33.4, 1 0 3
29.60, 30.8, 1 2 0
52.67, 29.9, 1 3 4

Crystal structure
```
CuTeO5
1.0
4.803 0.000 0.000
0.000 7.758 0.000
0.000 0.000 10.767
Cu Te O
4 4 20
Cartesian
0.338 0.850 4.645
2.064 6.908 10.029
2.739 3.029 6.122
4.465 4.730 0.738
0.833 1.484 1.414
1.569 6.274 6.798
3.234 2.395 9.353
3.970 5.363 3.969
0.170 7.399 10.733
0.176 6.678 5.018
0.258 4.732 2.573
0.291 5.319 7.659
0.804 2.650 5.123
1.597 5.108 10.507
2.110 2.439 2.276
2.143 3.026 7.956
2.225 1.080 10.402
2.231 0.359 5.349
2.572 4.238 0.034
2.578 4.959 5.749
2.660 6.905 8.195
2.693 6.318 3.108
3.206 1.229 5.644
3.999 6.529 0.260
4.512 1.440 8.492
4.545 0.853 2.811
4.627 2.799 0.366
4.633 3.520 5.418
```